(1)
Diffraction record for CePuCuSi. The powder X-ray diffraction pattern is computed, not measured: it uses a PBE-relaxed structure and Cu Kα.
Lines closer than 0.1° are merged.

Main lines, in order of rising 2θ (2θ = 10–90°):
two_theta, Rel. int.
21.51, 13
28.81, 100
37.71, 51
44.45, 25
48.13, 25
54.93, 12
59.67, 10
62.71, 23
63.69, 11
72.77, 12

Cell and atoms:
Lattice parameters (Å, degrees): 4.7713 4.7713 4.6861 90.00 90.00 120.00
Positions (direct):
Ce (0.0000, 0.0000, 0.0000)
Pu (0.3333, 0.6667, 0.5009)
Cu (0.6667, 0.3333, 0.7531)
Si (0.6667, 0.3333, 0.2561)

=====

(2)
Diffraction record for Ce2Pm2Rh. The powder X-ray diffraction pattern is computed, not measured: it uses a PBE-relaxed structure and Cu Kα.
Lines closer than 0.1° are merged.

Main lines, in order of rising 2θ (2θ = 10–90°):
two_theta, Rel. int.
26.47, 19
29.42, 41
30.79, 100
31.57, 24
33.67, 70
36.74, 32
39.17, 37
39.53, 19
40.95, 21
59.39, 23

Cell and atoms:
Lattice parameters (Å, degrees): 7.0859 7.0859 7.0832 102.68 102.68 117.90
Positions (direct):
Ce (0.2247, 0.2247, 0.4142)
Ce (0.2266, 0.2266, 0.8121)
Ce (0.7734, 0.7734, 0.1879)
Ce (0.7753, 0.7753, 0.5858)
Pm (0.2399, 0.6725, 0.2441)
Pm (0.3275, 0.7601, 0.7559)
Pm (0.6725, 0.2399, 0.2441)
Pm (0.7601, 0.3275, 0.7559)
Rh (0.1179, 0.8821, 0.0000)
Rh (0.8821, 0.1179, 0.0000)